[1]
For Rb2In4Ni, a cell relaxed with PBE gives the computed powder diffraction line list in this record (CuKα).
No peak broadening, texture or thermal motion is included.

The 10 most intense peaks (2θ = 10–80°), in order of falling intensity:
hkl 0 0 2, 2θ 12.34, 7.174 Å, rel. 100
hkl 1 1 0, 2θ 38.19, 2.357 Å, rel. 85
hkl 0 1 4, 2θ 33.25, 2.694 Å, rel. 77
hkl 1 1 4, 2θ 46.09, 1.970 Å, rel. 62
hkl 0 0 4, 2θ 24.82, 3.587 Å, rel. 56
hkl 1 0 0, 2θ 21.77, 4.082 Å, rel. 48
hkl 1 0 1, 2θ 22.65, 3.926 Å, rel. 33
hkl 1 1 2, 2θ 40.28, 2.239 Å, rel. 33
hkl 0 1 8, 2θ 56.01, 1.642 Å, rel. 30
hkl 2 0 4, 2θ 51.52, 1.774 Å, rel. 22

Crystal structure
```
data_Rb2In4Ni
_cell_length_a 4.7132
_cell_length_b 4.7132
_cell_length_c 14.3474
_cell_angle_alpha 90.00
_cell_angle_beta 90.00
_cell_angle_gamma 120.00
_space_group_name_H-M_alt 'P -3 m 1'
_space_group_IT_number 164
_space_group_name_Hall '-P 3 2"'
loop_
_atom_site_label
_atom_site_type_symbol
_atom_site_fract_x
_atom_site_fract_y
_atom_site_fract_z
_atom_site_occupancy
Rb1 Rb 0.3333 0.6667 0.2272 1
In1 In 0.3333 0.6667 0.4756 1
In2 In 0.3333 0.6667 0.9670 1
Ni1 Ni 0.0000 0.0000 0.5000 1
```

---

[2]
For InNi3Sb5, a cell relaxed with PBE gives the computed powder diffraction line list in this record (CuKα).
No peak broadening, texture or thermal motion is included.

The 10 most intense peaks (2θ = 10–80°), in order of falling intensity:
hkl 1 0 2, 2θ 29.39, 3.039 Å, rel. 100
hkl 1 1 0, 2θ 33.57, 2.669 Å, rel. 92
hkl 2 0 2, 2θ 45.21, 2.006 Å, rel. 81
hkl 1 1 2, 2θ 40.55, 2.225 Å, rel. 35
hkl 1 1 4, 2θ 57.26, 1.609 Å, rel. 32
hkl 2 1 2, 2θ 57.48, 1.603 Å, rel. 29
hkl 0 0 4, 2θ 44.95, 2.017 Å, rel. 23
hkl 0 0 1, 2θ 10.97, 8.066 Å, rel. 20
hkl 2 2 0, 2θ 70.57, 1.335 Å, rel. 20
hkl 3 0 0, 2θ 60.03, 1.541 Å, rel. 17

Crystal structure
```
data_InNi3Sb5
_cell_length_a 5.3386
_cell_length_b 5.3386
_cell_length_c 8.0660
_cell_angle_alpha 90.00
_cell_angle_beta 90.00
_cell_angle_gamma 120.00
_space_group_name_H-M_alt 'P 6/m m m'
_space_group_IT_number 191
_space_group_name_Hall '-P 6 2'
loop_
_atom_site_label
_atom_site_type_symbol
_atom_site_fract_x
_atom_site_fract_y
_atom_site_fract_z
_atom_site_occupancy
In1 In 0.0000 0.0000 0.0000 1
Ni1 Ni 0.0000 0.5000 0.5000 1
Sb1 Sb 0.0000 0.0000 0.5000 1
Sb2 Sb 0.3333 0.6667 0.2298 1
```